(1)
Computed XRD peak list of Ga2Hg2Au5 for Cu Kα, from a PBE-relaxed structure.
Kinematic intensities with the Lorentz-polarization factor, no thermal factor.

Atomic structure:
a = 14.461 Å, b = 4.549 Å, c = 7.448 Å
α = 90.00°, β = 118.11°, γ = 90.00°
Space group C2/m (No. 12)
Inequivalent atoms, fractional coordinates:
Ga 0.104 0.000 0.461
Hg 0.175 0.500 0.066
Au 0.000 0.500 0.500
Au 0.094 0.000 0.809
Au 0.188 0.500 0.475

The 6 most intense peaks (10° ≤ 2θ ≤ 90°), sorted by position:
d/Å  two_theta  I/Imax
3.615  24.63  54
3.354  26.58  51
2.832  31.59  91
2.275  39.62  66
2.225  40.54  100
2.033  44.56  63

(2)
Computed XRD peak list of Ga2HgAu for Cu Kα, from a PBE-relaxed structure.
Kinematic intensities with the Lorentz-polarization factor, no thermal factor.

Atomic structure:
a = 3.8541 Å, b = 3.8541 Å, c = 20.7551 Å
α = 90.00°, β = 90.00°, γ = 120.00°
Space group R3m (No. 160, hexagonal axes)
Inequivalent atoms, fractional coordinates:
Ga 0.0000 0.0000 0.0000
Ga 0.0000 0.0000 0.1894
Hg 0.0000 0.0000 0.7646
Au 0.0000 0.0000 0.5953

The 6 most intense peaks (10° ≤ 2θ ≤ 90°), sorted by position:
d/Å  two_theta  I/Imax
3.295  27.06  47
3.177  28.08  36
2.601  34.48  100
2.217  40.70  43
1.927  47.16  52
1.287  73.59  23

(3)
Computed XRD peak list of Li3Ga2Hg2Au4 for Cu Kα, from a PBE-relaxed structure.
Kinematic intensities with the Lorentz-polarization factor, no thermal factor.

Atomic structure:
a = 4.5590 Å, b = 4.5590 Å, c = 11.2474 Å
α = 90.00°, β = 90.00°, γ = 120.00°
Space group P-3m1 (No. 164)
Inequivalent atoms, fractional coordinates:
Li 0.0000 0.0000 0.0000
Li 0.0000 0.0000 0.2634
Ga 0.3333 0.6667 0.0908
Hg 0.3333 0.6667 0.5794
Au 0.3333 0.6667 0.3187
Au 0.3333 0.6667 0.8568

The 6 most intense peaks (10° ≤ 2θ ≤ 90°), sorted by position:
d/Å  two_theta  I/Imax
3.948  22.52  93
2.719  32.95  36
2.290  39.34  100
2.280  39.53  96
1.616  57.00  34
1.318  71.58  35

(4)
Computed XRD peak list of Y4GaHg2Au for Cu Kα, from a PBE-relaxed structure.
Kinematic intensities with the Lorentz-polarization factor, no thermal factor.

Atomic structure:
a = 5.1914 Å, b = 5.1914 Å, c = 25.3810 Å
α = 90.00°, β = 90.00°, γ = 120.00°
Space group R-3m (No. 166, hexagonal axes)
Inequivalent atoms, fractional coordinates:
Y 0.0000 0.0000 0.1245
Y 0.0000 0.0000 0.3747
Ga 0.0000 0.0000 0.5000
Hg 0.0000 0.0000 0.2485
Au 0.0000 0.0000 0.0000

The 6 most intense peaks (10° ≤ 2θ ≤ 90°), sorted by position:
d/Å  two_theta  I/Imax
3.668  24.26  10
2.594  34.58  100
1.834  49.71  18
1.498  61.94  28
1.496  62.04  9
1.160  83.30  16

(5)
Computed XRD peak list of Ho2Ga6Au3 for Cu Kα, from a PBE-relaxed structure.
Kinematic intensities with the Lorentz-polarization factor, no thermal factor.

Atomic structure:
a = 7.8465 Å, b = 7.8465 Å, c = 4.1345 Å
α = 90.00°, β = 90.00°, γ = 120.00°
Space group P-62m (No. 189)
Inequivalent atoms, fractional coordinates:
Ho 0.3333 0.6667 0.0000
Ga 0.0000 0.3012 0.5000
Ga 0.0000 0.8115 0.0000
Au 0.0000 0.6216 0.5000

The 6 most intense peaks (10° ≤ 2θ ≤ 90°), sorted by position:
d/Å  two_theta  I/Imax
3.923  22.66  29
2.846  31.43  100
2.265  39.80  41
2.182  41.39  41
2.067  43.79  23
1.527  60.65  24

(6)
Computed XRD peak list of Ho3Ga9Au2 for Cu Kα, from a PBE-relaxed structure.
Kinematic intensities with the Lorentz-polarization factor, no thermal factor.

Atomic structure:
a = 4.241 Å, b = 10.262 Å, c = 12.319 Å
α = 90.00°, β = 90.00°, γ = 90.00°
Space group Immm (No. 71)
Inequivalent atoms, fractional coordinates:
Ho 0.000 0.000 0.000
Ho 0.000 0.000 0.320
Ga 0.000 0.275 0.140
Ga 0.000 0.378 0.335
Ga 0.000 0.500 0.000
Au 0.000 0.215 0.500

The 6 most intense peaks (10° ≤ 2θ ≤ 90°), sorted by position:
d/Å  two_theta  I/Imax
2.628  34.11  21
2.557  35.09  100
2.444  36.78  15
2.120  42.64  25
2.053  44.11  18
1.475  63.02  15